[1]
The following is a simulated PXRD pattern of Ir2OsF2. It was derived from a crystal structure in Alexandria, relaxed with GGA-PBE, using Cu Kα X-rays.
Neutral-atom scattering factors, no anomalous dispersion.

a b c (Å): 3.308 3.308 11.867
angles (deg): 90.00 90.00 90.00
Space group I4/mmm (No. 139)
Unique sites:
Ir 0.000 0.000 0.107 (multiplicity 4)
Os 0.000 0.000 0.500 (multiplicity 2)
F 0.000 0.500 0.250 (multiplicity 4)

Peak list (12 most intense, 10 to 80 degrees two-theta, by intensity)
hkl 1 0 5, 47.13 deg, rel. 100; hkl 1 0 3, 35.37 deg, rel. 87; hkl 1 1 0, 38.48 deg, rel. 79; hkl 0 0 2, 14.93 deg, rel. 75; hkl 2 1 5, 75.76 deg, rel. 50; hkl 1 1 2, 41.49 deg, rel. 45; hkl 2 0 0, 55.56 deg, rel. 36; hkl 2 1 3, 67.60 deg, rel. 27; hkl 1 0 1, 28.00 deg, rel. 16; hkl 1 1 8, 75.96 deg, rel. 12; hkl 2 0 2, 57.87 deg, rel. 10; hkl 1 1 4, 49.63 deg, rel. 10

---

[2]
The following is a simulated PXRD pattern of Ga5CuSe8. It was derived from a crystal structure in Alexandria, relaxed with GGA-PBE, using Cu Kα X-rays.
Neutral-atom scattering factors, no anomalous dispersion.

a b c (Å): 5.533 5.533 11.315
angles (deg): 90.00 90.00 90.00
Space group P-42m (No. 111)
Unique sites:
Ga 0.000 0.000 0.000 (multiplicity 1)
Ga 0.000 0.500 0.255 (multiplicity 4)
Cu 0.500 0.500 0.500 (multiplicity 1)
Se 0.240 0.240 0.618 (multiplicity 4)
Se 0.266 0.266 0.116 (multiplicity 4)

Peak list (12 most intense, 10 to 80 degrees two-theta, by intensity)
hkl 1 1 2, 27.72 deg, rel. 100; hkl 2 0 4, 45.88 deg, rel. 46; hkl 3 1 2, 54.93 deg, rel. 28; hkl 2 2 0, 46.41 deg, rel. 23; hkl 1 1 6, 53.97 deg, rel. 14; hkl 3 1 6, 73.88 deg, rel. 11; hkl 4 0 0, 67.74 deg, rel. 7; hkl 3 3 2, 74.70 deg, rel. 7; hkl 2 1 1, 37.19 deg, rel. 6; hkl 1 0 1, 17.84 deg, rel. 5; hkl 1 0 3, 28.64 deg, rel. 5; hkl 2 0 2, 36.14 deg, rel. 4

---

[3]
The following is a simulated PXRD pattern of TbGd3P4O16. It was derived from a crystal structure in Alexandria, relaxed with GGA-PBE, using Cu Kα X-rays.
Neutral-atom scattering factors, no anomalous dispersion.

a b c (Å): 9.330 7.039 9.330
angles (deg): 90.00 97.95 90.00
Space group Cm (No. 8)
Unique sites:
Tb 0.000 0.000 0.000 (multiplicity 2)
Gd 0.000 0.500 0.500 (multiplicity 2)
Gd 0.375 0.000 0.876 (multiplicity 2)
Gd 0.375 0.500 0.375 (multiplicity 2)
P 0.125 0.000 0.626 (multiplicity 2)
P 0.126 0.500 0.124 (multiplicity 2)
P 0.249 0.000 0.249 (multiplicity 2)
P 0.251 0.500 0.751 (multiplicity 2)
O 0.046 0.173 0.547 (multiplicity 4)
O 0.047 0.326 0.046 (multiplicity 4)
O 0.083 0.000 0.256 (multiplicity 2)
O 0.086 0.500 0.758 (multiplicity 2)
O 0.116 0.000 0.791 (multiplicity 2)
O 0.118 0.500 0.290 (multiplicity 2)
O 0.256 0.000 0.084 (multiplicity 2)
O 0.259 0.500 0.586 (multiplicity 2)
O 0.290 0.000 0.618 (multiplicity 2)
O 0.291 0.500 0.116 (multiplicity 2)
O 0.328 0.173 0.328 (multiplicity 4)
O 0.330 0.327 0.830 (multiplicity 4)

Peak list (12 most intense, 10 to 80 degrees two-theta, by intensity)
hkl 0 2 0, 25.31 deg, rel. 100; hkl 3 1 1, 34.39 deg, rel. 66; hkl 2 0 0, 19.21 deg, rel. 55; hkl 3 3 1, 50.70 deg, rel. 53; hkl 2 2 0, 31.97 deg, rel. 25; hkl 4 2 -2, 48.97 deg, rel. 21; hkl 1 3 1, 41.20 deg, rel. 21; hkl 2 2 -2, 36.09 deg, rel. 21; hkl 5 3 -1, 63.81 deg, rel. 15; hkl 0 4 0, 51.96 deg, rel. 14; hkl 3 5 1, 75.55 deg, rel. 14; hkl 4 0 2, 46.31 deg, rel. 13

---

[4]
The following is a simulated PXRD pattern of Ga2Te3. It was derived from a crystal structure in Alexandria, relaxed with GGA-PBE, using Cu Kα X-rays.
Neutral-atom scattering factors, no anomalous dispersion.

a b c (Å): 4.224 12.736 6.136
angles (deg): 90.00 90.00 90.00
Space group Imm2 (No. 44)
Unique sites:
Ga 0.000 0.162 0.000 (multiplicity 4)
Te 0.000 0.000 0.743 (multiplicity 2)
Te 0.000 0.344 0.778 (multiplicity 4)

Peak list (12 most intense, 10 to 80 degrees two-theta, by intensity)
hkl 1 0 1, 25.56 deg, rel. 100; hkl 1 3 2, 42.17 deg, rel. 42; hkl 1 6 1, 50.36 deg, rel. 15; hkl 0 3 3, 49.48 deg, rel. 15; hkl 2 3 1, 50.51 deg, rel. 14; hkl 2 0 0, 42.82 deg, rel. 11; hkl 1 3 0, 29.84 deg, rel. 10; hkl 0 6 0, 42.59 deg, rel. 10; hkl 2 3 3, 67.45 deg, rel. 7; hkl 3 3 2, 77.99 deg, rel. 7; hkl 2 6 0, 61.99 deg, rel. 6; hkl 1 9 2, 77.67 deg, rel. 6

---

[5]
The following is a simulated PXRD pattern of Ba2GaSnPd6. It was derived from a crystal structure in Alexandria, relaxed with GGA-PBE, using Cu Kα X-rays.
Neutral-atom scattering factors, no anomalous dispersion.

a b c (Å): 12.571 5.803 8.597
angles (deg): 90.00 131.27 90.00
Space group C2/m (No. 12)
Unique sites:
Ba 0.246 0.000 0.291 (multiplicity 4)
Ga 0.000 0.500 0.000 (multiplicity 2)
Sn 0.000 0.000 0.500 (multiplicity 2)
Pd 0.025 0.255 0.780 (multiplicity 8)
Pd 0.247 0.500 0.109 (multiplicity 4)

Peak list (12 most intense, 10 to 80 degrees two-theta, by intensity)
hkl 2 2 -2, 37.40 deg, rel. 100; hkl 4 0 0, 38.11 deg, rel. 98; hkl 2 2 0, 36.33 deg, rel. 79; hkl 3 1 -2, 27.74 deg, rel. 61; hkl 1 1 -3, 39.45 deg, rel. 41; hkl 1 1 1, 26.20 deg, rel. 40; hkl 5 1 -3, 40.46 deg, rel. 35; hkl 3 1 -1, 26.69 deg, rel. 31; hkl 2 2 2, 53.92 deg, rel. 30; hkl 1 1 -2, 27.27 deg, rel. 29; hkl 2 0 -1, 14.15 deg, rel. 28; hkl 6 2 -2, 54.98 deg, rel. 27

---

[6]
The following is a simulated PXRD pattern of PmHoAg3. It was derived from a crystal structure in Alexandria, relaxed with GGA-PBE, using Cu Kα X-rays.
Neutral-atom scattering factors, no anomalous dispersion.

a b c (Å): 7.672 7.939 7.971
angles (deg): 90.00 90.00 90.00
Space group Pnnm (No. 58)
Unique sites:
Pm 0.189 0.164 0.000 (multiplicity 4)
Ho 0.186 0.155 0.500 (multiplicity 4)
Ag 0.000 0.500 0.222 (multiplicity 4)
Ag 0.121 0.866 0.247 (multiplicity 8)

Peak list (12 most intense, 10 to 80 degrees two-theta, by intensity)
hkl 1 2 2, 33.95 deg, rel. 100; hkl 2 1 2, 34.36 deg, rel. 70; hkl 2 0 2, 32.41 deg, rel. 51; hkl 1 3 0, 35.90 deg, rel. 33; hkl 3 1 0, 36.93 deg, rel. 31; hkl 0 0 4, 45.52 deg, rel. 24; hkl 0 2 2, 31.82 deg, rel. 15; hkl 1 3 4, 59.29 deg, rel. 13; hkl 3 2 0, 42.03 deg, rel. 12; hkl 3 1 4, 59.99 deg, rel. 12; hkl 2 5 2, 68.10 deg, rel. 12; hkl 5 1 2, 66.33 deg, rel. 11

---

[7]
The following is a simulated PXRD pattern of Dy2MgZr3N6. It was derived from a crystal structure in Alexandria, relaxed with GGA-PBE, using Cu Kα X-rays.
Neutral-atom scattering factors, no anomalous dispersion.

a b c (Å): 14.489 3.306 6.653
angles (deg): 90.00 103.97 90.00
Space group C2/m (No. 12)
Unique sites:
Dy 0.164 0.000 0.327 (multiplicity 4)
Mg 0.000 0.500 0.000 (multiplicity 2)
Zr 0.000 0.500 0.500 (multiplicity 2)
Zr 0.163 0.000 0.834 (multiplicity 4)
N 0.004 0.000 0.746 (multiplicity 4)
N 0.162 0.500 0.592 (multiplicity 4)
N 0.167 0.500 0.071 (multiplicity 4)

Peak list (12 most intense, 10 to 80 degrees two-theta, by intensity)
hkl 1 1 -2, 38.40 deg, rel. 100; hkl 3 1 0, 33.18 deg, rel. 89; hkl 7 1 -2, 55.19 deg, rel. 34; hkl 0 2 0, 55.66 deg, rel. 32; hkl 4 0 -2, 32.83 deg, rel. 31; hkl 4 2 -2, 66.12 deg, rel. 17; hkl 5 1 -4, 65.72 deg, rel. 13; hkl 2 0 0, 12.59 deg, rel. 13; hkl 0 0 1, 13.72 deg, rel. 12; hkl 6 2 0, 69.60 deg, rel. 11; hkl 0 0 2, 27.69 deg, rel. 10; hkl 1 1 4, 66.19 deg, rel. 8

---

[8]
The following is a simulated PXRD pattern of Mn3Sn5Cl16. It was derived from a crystal structure in Alexandria, relaxed with GGA-PBE, using Cu Kα X-rays.
Neutral-atom scattering factors, no anomalous dispersion.

a b c (Å): 14.251 7.913 13.112
angles (deg): 90.00 92.67 90.00
Space group Cm (No. 8)
Unique sites:
Mn 0.000 0.000 0.000 (multiplicity 2)
Mn 0.424 0.249 0.491 (multiplicity 4)
Sn 0.158 0.000 0.258 (multiplicity 2)
Sn 0.184 0.500 0.495 (multiplicity 2)
Sn 0.254 0.254 0.994 (multiplicity 4)
Sn 0.496 0.000 0.746 (multiplicity 2)
Cl 0.060 0.259 0.620 (multiplicity 4)
Cl 0.080 0.221 0.121 (multiplicity 4)
Cl 0.140 0.000 0.887 (multiplicity 2)
Cl 0.181 0.500 0.856 (multiplicity 2)
Cl 0.272 0.261 0.386 (multiplicity 4)
Cl 0.315 0.000 0.141 (multiplicity 2)
Cl 0.351 0.000 0.600 (multiplicity 2)
Cl 0.352 0.500 0.600 (multiplicity 2)
Cl 0.354 0.500 0.111 (multiplicity 2)
Cl 0.420 0.265 0.898 (multiplicity 4)
Cl 0.487 0.000 0.391 (multiplicity 2)
Cl 0.492 0.500 0.398 (multiplicity 2)

Peak list (12 most intense, 10 to 80 degrees two-theta, by intensity)
hkl 2 0 1, 14.38 deg, rel. 100; hkl 3 1 2, 26.28 deg, rel. 77; hkl 1 1 1, 14.62 deg, rel. 70; hkl 0 0 2, 13.52 deg, rel. 68; hkl 6 2 0, 44.53 deg, rel. 66; hkl 2 2 3, 33.42 deg, rel. 64; hkl 2 2 -3, 32.67 deg, rel. 46; hkl 2 2 2, 29.48 deg, rel. 44; hkl 4 0 5, 43.83 deg, rel. 41; hkl 2 0 2, 18.86 deg, rel. 41; hkl 4 0 4, 38.25 deg, rel. 38; hkl 0 4 0, 45.87 deg, rel. 37

---

[9]
The following is a simulated PXRD pattern of NaScC. It was derived from a crystal structure in Alexandria, relaxed with GGA-PBE, using Cu Kα X-rays.
Neutral-atom scattering factors, no anomalous dispersion.

a b c (Å): 4.142 4.319 7.559
angles (deg): 90.00 94.77 90.00
Space group Pm (No. 6)
Unique sites:
Na 0.000 0.000 0.000 (multiplicity 1)
Na 0.468 0.500 0.727 (multiplicity 1)
Sc 0.452 0.500 0.264 (multiplicity 1)
Sc 0.940 0.000 0.462 (multiplicity 1)
C 0.373 0.000 0.336 (multiplicity 1)
C 0.599 0.000 0.212 (multiplicity 1)

Peak list (12 most intense, 10 to 80 degrees two-theta, by intensity)
hkl 0 0 1, 11.75 deg, rel. 100; hkl 1 1 0, 29.94 deg, rel. 71; hkl 0 1 2, 31.52 deg, rel. 65; hkl 1 0 -2, 30.78 deg, rel. 41; hkl 1 0 2, 33.52 deg, rel. 39; hkl 0 2 0, 41.83 deg, rel. 23; hkl 2 1 -2, 53.21 deg, rel. 17; hkl 1 2 2, 54.63 deg, rel. 16; hkl 1 2 -2, 52.82 deg, rel. 16; hkl 2 0 0, 43.87 deg, rel. 15; hkl 1 1 -4, 56.17 deg, rel. 12; hkl 1 1 4, 59.59 deg, rel. 11

---

[10]
The following is a simulated PXRD pattern of Ca3Ni2H9. It was derived from a crystal structure in Alexandria, relaxed with GGA-PBE, using Cu Kα X-rays.
Neutral-atom scattering factors, no anomalous dispersion.

a b c (Å): 4.9500 4.9500 6.1369
angles (deg): 90.00 90.00 120.00
Space group P-3m1 (No. 164)
Unique sites:
Ca 0.0000 0.0000 0.0000 (multiplicity 1)
Ca 0.3333 0.6667 0.3402 (multiplicity 2)
Ni 0.3333 0.6667 0.8262 (multiplicity 2)
H 0.0000 0.5000 0.0000 (multiplicity 3)
H 0.1727 0.3453 0.6864 (multiplicity 6)

Peak list (12 most intense, 10 to 80 degrees two-theta, by intensity)
hkl 1 0 2, 35.99 deg, rel. 100; hkl 1 1 0, 36.30 deg, rel. 93; hkl 0 2 2, 52.05 deg, rel. 35; hkl 2 1 2, 65.10 deg, rel. 31; hkl 1 0 0, 20.72 deg, rel. 27; hkl 1 0 1, 25.34 deg, rel. 21; hkl 0 0 1, 14.43 deg, rel. 16; hkl 0 1 4, 64.51 deg, rel. 16; hkl 3 0 0, 65.30 deg, rel. 15; hkl 2 0 4, 76.33 deg, rel. 10; hkl 2 2 0, 77.07 deg, rel. 9; hkl 1 1 1, 39.25 deg, rel. 7